Starting from DFT lattice parameters and positions (GGA-PBE), the XRD peak list of Ba7Na3Ir was simulated for CuKα.
Neutral-atom scattering factors, no anomalous dispersion.

Peak list (6 most intense, 10 to 90 degrees two-theta, sorted by position)
10.9°, 8.111 Å, rel. 801; 13.3°, 6.657 Å, rel. 398; 21.9°, 4.061 Å, rel. 887; 26.8°, 3.328 Å, rel. 1000; 33.1°, 2.704 Å, rel. 327; 35.1°, 2.557 Å, rel. 357

Atomic structure:
abc: 8.952 8.952 8.952
angles: 69.67 69.67 69.67
Fractional coordinates of all 11 atoms:
Ba 0.000 0.000 0.000
Ba 0.053 0.053 0.468
Ba 0.053 0.468 0.053
Ba 0.090 0.512 0.512
Ba 0.468 0.053 0.053
Ba 0.512 0.090 0.512
Ba 0.512 0.512 0.090
Na 0.350 0.685 0.685
Na 0.685 0.350 0.685
Na 0.685 0.685 0.350
Ir 0.283 0.283 0.283